For Fe2O2F3, a structure optimized by DFT (GGA+U) gives the computed powder X-ray diffraction pattern in this record (CuKα).

Principal peaks in the range 2θ from 5° to 70°, sorted by position:
| 2θ (°) | I (rel.) | index |
| --- | --- | --- |
| 18.6 | 100 | 2 0 0 |
| 19.7 | 40 | 1 1 0 |
| 27.1 | 34 | 2 0 -2 |
| 30.8 | 68 | 1 1 -2 |
| 33.2 | 34 | 3 1 0 |
| 36.1 | 16 | 1 1 2 |
| 51.1 | 28 | 5 1 0 |
| 53.0 | 25 | 4 2 -2 |
| 56.2 | 18 | 3 1 -4 |
| 63.5 | 19 | 1 3 2 |

Cell and atoms:
Cell lengths 10.117, 5.124, 7.039 Å; angles 90.00, 109.58, 90.00 degrees
Space group C2/c (No. 15)
Asymmetric unit:
Fe (0.195, 0.005, 0.379) (multiplicity 8)
O (0.214, 0.165, 0.641) (multiplicity 8)
F (0.000, 0.123, 0.250) (multiplicity 4)
F (0.124, 0.309, 0.965) (multiplicity 8)



For Li3V3B2O10, a structure optimized by DFT (GGA+U) gives the computed powder X-ray diffraction pattern in this record (CuKα).

Principal peaks in the range 2θ from 5° to 70°, sorted by position:
| 2θ (°) | I (rel.) | index |
| --- | --- | --- |
| 11.9 | 67 | 0 1 1 |
| 14.8 | 40 | 0 0 2 |
| 17.5 | 100 | 0 1 2 |
| 18.8 | 37 | 0 2 0 |
| 29.4 | 31 | 0 3 1 |
| 29.7 | 69 | 1 0 0 |
| 35.4 | 80 | 0 2 4 |
| 42.3 | 63 | 0 2 5 |
| 44.3 | 55 | 1 3 2 |
| 61.6 | 22 | 2 0 0 |

Cell and atoms:
Cell lengths 3.012, 9.422, 12.001 Å; angles 90.00, 90.14, 90.00 degrees
Space group P2_1/c (No. 14)
Asymmetric unit:
Li (0.000, 0.000, 0.000) (multiplicity 2)
Li (0.002, 0.007, 0.723) (multiplicity 4)
V (0.476, 0.734, 0.385) (multiplicity 4)
V (0.500, 0.000, 0.500) (multiplicity 2)
B (0.496, 0.236, 0.862) (multiplicity 4)
O (0.006, 0.622, 0.354) (multiplicity 4)
O (0.007, 0.121, 0.569) (multiplicity 4)
O (0.488, 0.156, 0.959) (multiplicity 4)
O (0.496, 0.117, 0.363) (multiplicity 4)
O (0.498, 0.665, 0.740) (multiplicity 4)



For CsZnNiF6, a structure optimized by DFT (GGA+U) gives the computed powder X-ray diffraction pattern in this record (CuKα).

Principal peaks in the range 2θ from 5° to 70°, sorted by position:
| 2θ (°) | I (rel.) | index |
| --- | --- | --- |
| 24.0 | 39 | 0 2 0 |
| 28.2 | 100 | 0 1 3 |
| 28.4 | 46 | 2 1 1 |
| 29.4 | 15 | 0 2 2 |
| 29.7 | 15 | 2 0 2 |
| 44.7 | 20 | 0 3 3 |
| 45.2 | 17 | 3 0 3 |
| 48.9 | 10 | 0 4 0 |
| 49.1 | 37 | 2 2 4 |
| 58.1 | 10 | 4 1 3 |

Cell and atoms:
Cell lengths 7.332, 7.449, 10.536 Å; angles 90.00, 90.00, 90.00 degrees
Space group Imma (No. 74)
Asymmetric unit:
Cs (0.000, 0.250, 0.122) (multiplicity 4)
Zn (0.250, 0.250, 0.750) (multiplicity 4)
Ni (0.000, 0.000, 0.500) (multiplicity 4)
F (0.000, 0.250, 0.436) (multiplicity 4)
F (0.000, 0.250, 0.825) (multiplicity 4)
F (0.185, 0.047, 0.621) (multiplicity 16)



For Li9Mn2Co5O16, a structure optimized by DFT (GGA+U) gives the computed powder X-ray diffraction pattern in this record (CuKα).

Principal peaks in the range 2θ from 5° to 70°, sorted by position:
| 2θ (°) | I (rel.) | index |
| --- | --- | --- |
| 5.7 | 18 | 0 0 1 |
| 18.3 | 100 | 0 1 -2 |
| 34.5 | 18 | 1 1 3 |
| 36.2 | 13 | 1 0 -3 |
| 36.8 | 11 | 0 2 4 |
| 37.6 | 8 | -1 1 1 |
| 41.4 | 33 | 1 0 5 |
| 44.0 | 27 | 1 1 -5 |
| 44.9 | 25 | 0 3 2 |
| 62.0 | 8 | 2 1 0 |

Cell and atoms:
Cell lengths 2.997, 6.432, 15.483 Å; angles 88.91, 86.66, 76.85 degrees
Space group P1 (No. 1)
Asymmetric unit:
Li (0.000, 0.000, 0.000) (multiplicity 1)
Li (0.032, 0.881, 0.177) (multiplicity 1)
Li (0.102, 0.755, 0.369) (multiplicity 1)
Li (0.238, 0.500, 0.745) (multiplicity 1)
Li (0.367, 0.230, 0.120) (multiplicity 1)
Li (0.483, 0.001, 0.494) (multiplicity 1)
Li (0.604, 0.748, 0.866) (multiplicity 1)
Li (0.745, 0.500, 0.245) (multiplicity 1)
Li (0.867, 0.240, 0.619) (multiplicity 1)
Mn (0.168, 0.622, 0.557) (multiplicity 1)
Mn (0.677, 0.628, 0.060) (multiplicity 1)
Co (0.311, 0.367, 0.933) (multiplicity 1)
Co (0.425, 0.114, 0.300) (multiplicity 1)
Co (0.554, 0.875, 0.683) (multiplicity 1)
Co (0.795, 0.369, 0.430) (multiplicity 1)
Co (0.922, 0.123, 0.807) (multiplicity 1)
O (0.119, 0.825, 0.774) (multiplicity 1)
O (0.180, 0.661, 0.972) (multiplicity 1)
O (0.185, 0.566, 0.137) (multiplicity 1)
O (0.284, 0.411, 0.338) (multiplicity 1)
O (0.308, 0.323, 0.522) (multiplicity 1)
O (0.415, 0.168, 0.716) (multiplicity 1)
O (0.434, 0.075, 0.896) (multiplicity 1)
O (0.526, 0.914, 0.084) (multiplicity 1)
O (0.568, 0.841, 0.281) (multiplicity 1)
O (0.610, 0.669, 0.463) (multiplicity 1)
O (0.723, 0.579, 0.651) (multiplicity 1)
O (0.739, 0.423, 0.842) (multiplicity 1)
O (0.865, 0.323, 0.021) (multiplicity 1)
O (0.866, 0.183, 0.221) (multiplicity 1)
O (0.979, 0.077, 0.397) (multiplicity 1)
O (0.986, 0.921, 0.592) (multiplicity 1)



For MgMnF6, a structure optimized by DFT (GGA+U) gives the computed powder X-ray diffraction pattern in this record (CuKα).

Principal peaks in the range 2θ from 5° to 70°, sorted by position:
| 2θ (°) | I (rel.) | index |
| --- | --- | --- |
| 20.0 | 6 | 0 0 3 |
| 20.8 | 17 | 1 0 1 |
| 23.8 | 100 | 0 1 2 |
| 33.4 | 9 | 1 0 4 |
| 40.1 | 24 | 2 -1 3 |
| 48.7 | 24 | 0 2 4 |
| 54.3 | 23 | 2 -1 6 |
| 55.5 | 12 | 3 -2 2 |
| 61.0 | 5 | 3 -1 4 |
| 61.5 | 7 | 3 0 0 |

Cell and atoms:
Cell lengths 5.2205, 5.2205, 13.3066 Å; angles 90.00, 90.00, 120.00 degrees
Space group R-3 (No. 148, hexagonal axes)
Asymmetric unit:
Mg (0.0000, 0.0000, 0.0000) (multiplicity 3)
Mn (0.0000, 0.0000, 0.5000) (multiplicity 3)
F (0.0163, 0.4217, 0.2466) (multiplicity 18)



For Zn2SnWO6, a structure optimized by DFT (GGA+U) gives the computed powder X-ray diffraction pattern in this record (CuKα).

Principal peaks in the range 2θ from 5° to 70°, sorted by position:
| 2θ (°) | I (rel.) | index |
| --- | --- | --- |
| 19.2 | 100 | 1 0 0 |
| 21.9 | 28 | 0 1 -1 |
| 22.0 | 28 | 1 1 1 |
| 26.6 | 48 | 0 1 1 |
| 29.2 | 84 | 1 1 -1 |
| 31.2 | 42 | 1 0 2 |
| 31.2 | 47 | 1 2 0 |
| 31.9 | 41 | 2 1 1 |
| 34.7 | 35 | 0 2 0 |
| 45.1 | 26 | 2 1 -1 |

Cell and atoms:
Cell lengths 5.664, 5.770, 5.776 Å; angles 89.50, 65.86, 65.78 degrees
Space group P1 (No. 1)
Asymmetric unit:
Zn (0.000, 0.000, 0.000) (multiplicity 1)
Zn (0.007, 0.544, 0.341) (multiplicity 1)
Sn (0.375, 0.879, 0.298) (multiplicity 1)
W (0.334, 0.407, 0.776) (multiplicity 1)
O (0.120, 0.251, 0.036) (multiplicity 1)
O (0.134, 0.388, 0.585) (multiplicity 1)
O (0.333, 0.729, 0.658) (multiplicity 1)
O (0.392, 0.517, 0.059) (multiplicity 1)
O (0.683, 0.156, 0.589) (multiplicity 1)
O (0.814, 0.790, 0.158) (multiplicity 1)